For Ba2Co9O14, a crystal structure in Alexandria, relaxed with GGA+U gives the calculated powder diffraction line list in this record (Cu Kα X-rays).
No peak broadening, texture or thermal motion is included.

Most intense lines, 10 to 90 degrees two-theta, in order of rising 2θ:
two_theta  I_rel
27.1  43
30.5  100
41.5  33
43.2  43
47.2  34
63.5  38

Atomic structure:
```
25
Lattice="2.929 1.691 9.881 -2.929 1.691 9.881 0.000 -3.382 9.881" Properties=species:S:1:pos:R:3 pbc="T T T"
Ba 0.000 0.000 3.450
Ba 0.000 0.000 26.194
Co 0.000 0.000 0.000
Co -1.464 -0.845 9.881
Co 0.000 0.000 6.871
Co 0.000 0.000 12.285
Co -1.464 0.845 19.763
Co 0.000 1.691 9.881
Co 0.000 0.000 14.822
Co 0.000 0.000 17.359
Co 0.000 0.000 22.773
O -1.327 -0.766 13.568
O 0.000 -1.665 11.017
O -1.442 0.833 11.017
O 0.000 0.000 8.785
O -1.442 -0.833 18.627
O 0.000 -1.532 16.076
O -1.327 0.766 16.076
O 1.327 -0.766 13.568
O 0.000 1.532 13.568
O 1.442 0.833 11.017
O 0.000 0.000 20.859
O 1.442 -0.833 18.627
O 0.000 1.665 18.627
O 1.327 0.766 16.076
```